# 1
Diffraction record for LiCoAs. The PXRD pattern is computed, not measured: it uses a DFT-relaxed cell (GGA-PBE, OQMD) and Cu Kα.
No peak broadening, texture or thermal motion is included.

Crystal structure
a = 3.729 Å, b = 3.729 Å, c = 6.070 Å
α = 90.00°, β = 90.00°, γ = 90.00°
Sites, in units of the cell vectors:
Li (0.250, 0.250, 0.170)
Li (0.750, 0.750, 0.830)
Co (0.250, 0.750, 0.500)
Co (0.750, 0.250, 0.500)
As (0.250, 0.250, 0.734)
As (0.750, 0.750, 0.266)

Principal peaks in the range 2θ = 10–90°, by intensity:
| d/Å | I (rel.) |
| --- | --- |
| 6.070 | 100.0 |
| 3.177 | 94.2 |
| 1.990 | 92.0 |
| 1.864 | 39.4 |
| 2.418 | 27.2 |
| 1.099 | 25.4 |
| 1.608 | 24.7 |
| 1.778 | 17.7 |
| 1.287 | 16.5 |
| 1.782 | 14.4 |

***

# 2
Diffraction record for Sm4YAg5. The PXRD pattern is computed, not measured: it uses a DFT-relaxed cell (GGA-PBE, OQMD) and Cu Kα.
No peak broadening, texture or thermal motion is included.

Crystal structure
a = 3.657 Å, b = 3.657 Å, c = 18.675 Å
α = 90.00°, β = 90.00°, γ = 90.00°
Sites, in units of the cell vectors:
Sm (0.000, 0.000, 0.101)
Sm (0.000, 0.000, 0.302)
Sm (0.000, 0.000, 0.698)
Sm (0.000, 0.000, 0.899)
Y (0.000, 0.000, 0.500)
Ag (0.500, 0.500, 0.000)
Ag (0.500, 0.500, 0.201)
Ag (0.500, 0.500, 0.405)
Ag (0.500, 0.500, 0.595)
Ag (0.500, 0.500, 0.799)

Principal peaks in the range 2θ = 10–90°, by intensity:
| d/Å | I (rel.) |
| --- | --- |
| 2.613 | 100.0 |
| 2.586 | 48.8 |
| 1.498 | 34.8 |
| 1.514 | 17.8 |
| 1.829 | 17.1 |
| 1.307 | 10.8 |
| 1.867 | 9.0 |
| 1.179 | 7.6 |
| 1.159 | 7.5 |
| 1.156 | 7.5 |

***

# 3
Diffraction record for Li2Pr2Ge3. The PXRD pattern is computed, not measured: it uses a DFT-relaxed cell (GGA-PBE, OQMD) and Cu Kα.
No peak broadening, texture or thermal motion is included.

Crystal structure
a = 9.692 Å, b = 9.692 Å, c = 6.962 Å
α = 90.00°, β = 90.00°, γ = 153.31°
Sites, in units of the cell vectors:
Li (0.190, 0.810, 0.562)
Li (0.190, 0.810, 0.938)
Li (0.810, 0.190, 0.062)
Li (0.810, 0.190, 0.438)
Pr (0.341, 0.659, 0.750)
Pr (0.448, 0.552, 0.250)
Pr (0.552, 0.448, 0.750)
Pr (0.659, 0.341, 0.250)
Ge (0.062, 0.938, 0.068)
Ge (0.062, 0.938, 0.432)
Ge (0.280, 0.720, 0.250)
Ge (0.720, 0.280, 0.750)
Ge (0.938, 0.062, 0.568)
Ge (0.938, 0.062, 0.932)

Principal peaks in the range 2θ = 10–90°, by intensity:
| d/Å | I (rel.) |
| --- | --- |
| 2.664 | 100.0 |
| 2.718 | 74.3 |
| 2.236 | 32.6 |
| 3.481 | 22.2 |
| 2.082 | 20.0 |
| 3.645 | 18.1 |
| 2.865 | 16.7 |
| 1.524 | 14.9 |
| 3.904 | 14.2 |
| 1.867 | 13.9 |

***

# 4
Diffraction record for YLuZn2Sn2. The PXRD pattern is computed, not measured: it uses a DFT-relaxed cell (GGA-PBE, OQMD) and Cu Kα.
No peak broadening, texture or thermal motion is included.

Crystal structure
a = 4.498 Å, b = 4.498 Å, c = 15.561 Å
α = 90.00°, β = 90.00°, γ = 120.00°
Sites, in units of the cell vectors:
Y (0.000, 0.000, 0.250)
Y (0.000, 0.000, 0.750)
Lu (0.000, 0.000, 0.000)
Lu (0.000, 0.000, 0.500)
Zn (0.333, 0.667, 0.159)
Zn (0.333, 0.667, 0.341)
Zn (0.667, 0.333, 0.659)
Zn (0.667, 0.333, 0.841)
Sn (0.333, 0.667, 0.610)
Sn (0.333, 0.667, 0.890)
Sn (0.667, 0.333, 0.110)
Sn (0.667, 0.333, 0.390)

Principal peaks in the range 2θ = 10–90°, by intensity:
| d/Å | I (rel.) |
| --- | --- |
| 2.753 | 100.0 |
| 2.249 | 66.6 |
| 1.741 | 30.5 |
| 1.377 | 25.8 |
| 3.115 | 21.2 |
| 1.931 | 17.0 |
| 1.471 | 15.4 |
| 1.298 | 11.5 |
| 3.483 | 8.0 |
| 1.227 | 7.9 |

***

# 5
Diffraction record for Hg2SeO. The PXRD pattern is computed, not measured: it uses a DFT-relaxed cell (GGA-PBE, OQMD) and Cu Kα.
No peak broadening, texture or thermal motion is included.

Crystal structure
a = 3.875 Å, b = 14.121 Å, c = 6.448 Å
α = 90.00°, β = 90.00°, γ = 90.00°
Sites, in units of the cell vectors:
Hg (0.000, 0.050, 0.000)
Hg (0.000, 0.322, 0.936)
Hg (0.000, 0.678, 0.436)
Hg (0.000, 0.950, 0.500)
Hg (0.500, 0.178, 0.436)
Hg (0.500, 0.450, 0.500)
Hg (0.500, 0.550, 0.000)
Hg (0.500, 0.822, 0.936)
Se (0.000, 0.324, 0.357)
Se (0.000, 0.676, 0.857)
Se (0.500, 0.176, 0.857)
Se (0.500, 0.824, 0.357)
O (0.000, 0.088, 0.340)
O (0.000, 0.912, 0.840)
O (0.500, 0.412, 0.840)
O (0.500, 0.588, 0.340)

Principal peaks in the range 2θ = 10–90°, by intensity:
| d/Å | I (rel.) |
| --- | --- |
| 3.228 | 100.0 |
| 2.991 | 89.9 |
| 3.097 | 62.8 |
| 2.193 | 51.6 |
| 1.863 | 29.8 |
| 1.724 | 22.5 |
| 1.937 | 21.1 |
| 1.642 | 20.8 |
| 1.836 | 20.1 |
| 2.441 | 16.7 |

***

# 6
Diffraction record for In10PtS10. The PXRD pattern is computed, not measured: it uses a DFT-relaxed cell (GGA-PBE, OQMD) and Cu Kα.
No peak broadening, texture or thermal motion is included.

Crystal structure
a = 11.585 Å, b = 12.154 Å, c = 7.538 Å
α = 90.00°, β = 90.00°, γ = 90.00°
Sites, in units of the cell vectors:
In (0.000, 0.000, 0.247)
In (0.000, 0.000, 0.753)
In (0.124, 0.409, 0.248)
In (0.124, 0.409, 0.752)
In (0.144, 0.719, 0.000)
In (0.165, 0.653, 0.500)
In (0.335, 0.153, 0.500)
In (0.356, 0.219, 0.000)
In (0.376, 0.909, 0.248)
In (0.376, 0.909, 0.752)
In (0.500, 0.500, 0.247)
In (0.500, 0.500, 0.753)
In (0.624, 0.091, 0.248)
In (0.624, 0.091, 0.752)
In (0.644, 0.781, 0.000)
In (0.665, 0.847, 0.500)
In (0.835, 0.347, 0.500)
In (0.856, 0.281, 0.000)
In (0.876, 0.591, 0.248)
In (0.876, 0.591, 0.752)
Pt (0.000, 0.500, 0.500)
Pt (0.500, 0.000, 0.500)
S (0.072, 0.272, 0.000)
S (0.112, 0.108, 0.500)
S (0.170, 0.822, 0.279)
S (0.170, 0.822, 0.721)
S (0.222, 0.532, 0.000)
S (0.278, 0.032, 0.000)
S (0.330, 0.322, 0.279)
S (0.330, 0.322, 0.721)
S (0.388, 0.608, 0.500)
S (0.428, 0.772, 0.000)
S (0.572, 0.228, 0.000)
S (0.612, 0.392, 0.500)
S (0.670, 0.678, 0.279)
S (0.670, 0.678, 0.721)
S (0.722, 0.968, 0.000)
S (0.778, 0.468, 0.000)
S (0.830, 0.178, 0.279)
S (0.830, 0.178, 0.721)
S (0.888, 0.892, 0.500)
S (0.928, 0.728, 0.000)

Principal peaks in the range 2θ = 10–90°, by intensity:
| d/Å | I (rel.) |
| --- | --- |
| 3.087 | 100.0 |
| 8.386 | 77.9 |
| 2.012 | 59.6 |
| 2.245 | 53.9 |
| 3.320 | 46.5 |
| 4.193 | 45.5 |
| 3.057 | 40.8 |
| 1.948 | 40.7 |
| 1.884 | 31.9 |
| 2.617 | 30.5 |

***

Copy entry 4 word for word.
Diffraction record for YLuZn2Sn2. The PXRD pattern is computed, not measured: it uses a DFT-relaxed cell (GGA-PBE, OQMD) and Cu Kα.
No peak broadening, texture or thermal motion is included.

Crystal structure
a = 4.498 Å, b = 4.498 Å, c = 15.561 Å
α = 90.00°, β = 90.00°, γ = 120.00°
Sites, in units of the cell vectors:
Y (0.000, 0.000, 0.250)
Y (0.000, 0.000, 0.750)
Lu (0.000, 0.000, 0.000)
Lu (0.000, 0.000, 0.500)
Zn (0.333, 0.667, 0.159)
Zn (0.333, 0.667, 0.341)
Zn (0.667, 0.333, 0.659)
Zn (0.667, 0.333, 0.841)
Sn (0.333, 0.667, 0.610)
Sn (0.333, 0.667, 0.890)
Sn (0.667, 0.333, 0.110)
Sn (0.667, 0.333, 0.390)

Principal peaks in the range 2θ = 10–90°, by intensity:
| d/Å | I (rel.) |
| --- | --- |
| 2.753 | 100.0 |
| 2.249 | 66.6 |
| 1.741 | 30.5 |
| 1.377 | 25.8 |
| 3.115 | 21.2 |
| 1.931 | 17.0 |
| 1.471 | 15.4 |
| 1.298 | 11.5 |
| 3.483 | 8.0 |
| 1.227 | 7.9 |